No. 1
Computed powder X-ray diffraction pattern of Hf3NiF6 for copper Kα, from the GGA+U geometry in the Materials Project.
Intensities are scaled so that the largest is 100.

Structure:
Cell: 4.9514 4.9761 12.0584 Å, 94.15 90.70 93.19°
Space group P-1 (No. 2)
Symmetry-distinct sites (fractional):
1 Hf 0.0000 0.0000 0.0000
2 Hf 0.0000 0.5000 0.5000
3 Hf 0.5000 0.0000 0.5000
4 Ni 0.0000 0.0000 0.5000
5 F 0.0090 0.9243 0.8433
6 F 0.0628 0.4815 0.3425
7 F 0.4991 0.0588 0.6598

Largest 8 diffraction maxima, by angle, 2θ from 10° to 80°:
index  two_theta  d_spacing  I_rel
0 0 2  14.73  6.013  100
1 0 0  17.92  4.949  35
1 -1 1  25.51  3.491  31
-1 1 1  26.12  3.412  22
1 1 -1  26.77  3.330  25
1 1 1  27.67  3.224  20
0 0 4  29.72  3.006  17
2 0 0  36.31  2.474  36

***

No. 2
Computed powder X-ray diffraction pattern of Li2FeNi3O8 for copper Kα, from the GGA+U geometry in the Materials Project.
Intensities are scaled so that the largest is 100.

Structure:
Cell: 5.7700 5.7700 14.3795 Å, 90.00 90.00 120.00°
Space group R-3m (No. 166, hexagonal axes)
Symmetry-distinct sites (fractional):
1 Li 0.0000 0.0000 0.1214
2 Fe 0.0000 0.0000 0.5000
3 Ni 0.0000 0.5000 0.0000
4 O 0.0000 0.0000 0.2620
5 O 0.0319 0.5159 0.2601

Largest 8 diffraction maxima, by angle, 2θ from 10° to 80°:
index  two_theta  d_spacing  I_rel
0 0 3  18.51  4.793  49
1 0 1  18.80  4.720  100
0 1 5  36.03  2.493  16
1 1 3  36.35  2.472  35
0 2 1  36.50  2.462  19
0 2 4  44.14  2.052  78
2 0 8  63.79  1.459  23
2 2 0  64.61  1.443  23

***

No. 3
Computed powder X-ray diffraction pattern of MnO2 for copper Kα, from the GGA+U geometry in the Materials Project.
Intensities are scaled so that the largest is 100.

Structure:
Cell: 2.9042 3.8448 6.1643 Å, 90.00 90.00 90.00°
Space group Pmmn (No. 59, origin choice 2)
Symmetry-distinct sites (fractional):
1 Mn 0.2500 0.2500 0.1567
2 O 0.2500 0.7500 0.0782
3 O 0.2500 0.7500 0.6624

Largest 8 diffraction maxima, by angle, 2θ from 10° to 80°:
index  two_theta  d_spacing  I_rel
0 0 1  14.37  6.164  100
0 1 1  27.34  3.262  84
1 0 1  34.13  2.627  26
1 1 1  41.64  2.169  11
1 0 2  42.78  2.114  51
0 2 0  47.28  1.922  23
1 1 3  60.19  1.537  27
1 2 2  65.65  1.422  23

***

No. 4
Computed powder X-ray diffraction pattern of YCoW2O8 for copper Kα, from the GGA+U geometry in the Materials Project.
Intensities are scaled so that the largest is 100.

Structure:
Cell: 5.0918 5.9639 6.0663 Å, 109.17 90.15 112.23°
Space group P1 (No. 1)
Symmetry-distinct sites (fractional):
1 Y 0.0000 0.0000 0.0000
2 Co 0.4952 0.0070 0.5062
3 W 0.2423 0.4815 0.6657
4 W 0.7576 0.5195 0.3345
5 O 0.1569 0.6977 0.4681
6 O 0.2209 0.7275 0.9327
7 O 0.2591 0.2330 0.7754
8 O 0.3455 0.2953 0.3314
9 O 0.6543 0.7054 0.6687
10 O 0.7423 0.7665 0.2239
11 O 0.7797 0.2727 0.0688
12 O 0.8429 0.3036 0.5332

Largest 8 diffraction maxima, by angle, 2θ from 10° to 80°:
index  two_theta  d_spacing  I_rel
0 0 1  15.63  5.669  38
0 1 0  17.19  5.159  54
0 1 -1  18.69  4.748  32
1 0 1  26.45  3.370  86
-1 1 1  27.44  3.251  71
1 1 -1  30.03  2.975  100
1 -2 1  31.37  2.852  59
2 -1 0  35.31  2.542  37

***

No. 5
Computed powder X-ray diffraction pattern of Na2FeO3 for copper Kα, from the GGA+U geometry in the Materials Project.
Intensities are scaled so that the largest is 100.

Structure:
Cell: 11.3468 6.1503 5.1003 Å, 90.00 90.00 90.00°
Space group Cmc2_1 (No. 36)
Symmetry-distinct sites (fractional):
1 Na 0.1655 0.1735 0.0000
2 Fe 0.0000 0.3269 0.4654
3 O 0.0000 0.3849 0.1082
4 O 0.1404 0.2063 0.5214

Largest 8 diffraction maxima, by angle, 2θ from 10° to 80°:
index  two_theta  d_spacing  I_rel
2 0 0  15.62  5.673  77
1 1 1  23.99  3.710  100
3 1 0  27.69  3.222  89
0 2 0  29.04  3.075  61
3 1 1  32.88  2.724  83
0 0 2  35.19  2.550  87
3 3 0  50.65  1.802  54
3 3 2  63.17  1.472  51

***

No. 6
Computed powder X-ray diffraction pattern of Na6NiO4 for copper Kα, from the GGA+U geometry in the Materials Project.
Intensities are scaled so that the largest is 100.

Structure:
Cell: 7.6523 7.6542 11.8166 Å, 90.05 90.05 119.94°
Space group P1 (No. 1)
Symmetry-distinct sites (fractional):
1 Na 0.0000 0.0000 0.0000
2 Na 0.0004 0.0000 0.4992
3 Na 0.0006 0.5746 0.0002
4 Na 0.0016 0.5749 0.4995
5 Na 0.1413 0.8581 0.7496
6 Na 0.1422 0.8585 0.2500
7 Na 0.3199 0.2565 0.3329
8 Na 0.3204 0.6402 0.3331
9 Na 0.3214 0.6413 0.8329
10 Na 0.3216 0.2556 0.8333
11 Na 0.3953 0.7885 0.5842
12 Na 0.3965 0.1804 0.5838
13 Na 0.3965 0.7914 0.0848
14 Na 0.3976 0.1792 0.0844
15 Na 0.5749 0.5753 0.4994
16 Na 0.5757 0.5755 0.9996
17 Na 0.7165 0.8600 0.2506
18 Na 0.7172 0.4328 0.2501
19 Na 0.7171 0.8592 0.7495
20 Na 0.7177 0.4339 0.7493
21 Na 0.7816 0.1784 0.0837
22 Na 0.7835 0.1791 0.5824
23 Na 0.9294 0.2525 0.8345
24 Na 0.9324 0.2541 0.3341
25 Ni 0.1901 0.3822 0.6389
26 Ni 0.1917 0.3832 0.1354
27 Ni 0.5236 0.0493 0.8870
28 Ni 0.5237 0.0503 0.3885
29 O 0.0494 0.0922 0.6937
30 O 0.0492 0.0979 0.1959
31 O 0.0492 0.5264 0.1953
32 O 0.0521 0.5331 0.6931
33 O 0.1942 0.3851 0.4711
34 O 0.1945 0.3859 0.9670
35 O 0.2347 0.9031 0.4437
36 O 0.2353 0.9053 0.9460
37 O 0.4787 0.5268 0.1945
38 O 0.4793 0.5285 0.6934
39 O 0.5266 0.0511 0.2201
40 O 0.5328 0.0548 0.7194
41 O 0.6704 0.3374 0.9433
42 O 0.6707 0.9085 0.9434
43 O 0.6710 0.9090 0.4435
44 O 0.6739 0.3393 0.4429

Largest 8 diffraction maxima, by angle, 2θ from 10° to 80°:
index  two_theta  d_spacing  I_rel
1 -1 0  13.35  6.630  64
1 0 -2  20.13  4.411  57
0 1 4  33.20  2.698  33
-2 1 4  38.49  2.339  27
2 1 2  39.04  2.307  100
-2 2 4  40.94  2.204  27
-3 3 2  43.73  2.070  19
2 2 0  47.51  1.914  58

***

No. 7
Computed powder X-ray diffraction pattern of LiVSiO4 for copper Kα, from the GGA+U geometry in the Materials Project.
Intensities are scaled so that the largest is 100.

Structure:
Cell: 5.7956 5.7956 8.0181 Å, 90.00 90.00 90.00°
Space group P4_322 (No. 95)
Symmetry-distinct sites (fractional):
1 Li 0.0000 0.2135 0.0000
2 V 0.2263 0.5000 0.2500
3 Si 0.2571 0.2571 0.6250
4 O 0.0228 0.2604 0.7399
5 O 0.2624 0.4943 0.4999

Largest 8 diffraction maxima, by angle, 2θ from 10° to 80°:
index  two_theta  d_spacing  I_rel
1 0 0  15.29  5.796  47
1 1 1  24.39  3.649  61
1 0 2  27.04  3.297  39
2 1 1  36.43  2.466  100
1 0 3  37.04  2.427  44
2 2 0  44.20  2.049  41
4 0 0  64.29  1.449  28
2 2 4  65.10  1.433  58

***

Question: What is the formula in the seventh record?
Answer: LiVSiO4